No. 1
InGaAs2: simulated X-ray powder pattern (Cu Kα (weighted mean of Kα1 and Kα2)), based on a PBE-relaxed structure.
Intensities are scaled so that the largest is 100.

Crystal structure
abc: 7.3235 7.3235 7.3235
angles: 33.51 33.51 33.51
Fractional positions:
In 0.0000 0.0000 0.0000
Ga 0.5004 0.5004 0.5004
As 0.3805 0.3805 0.3805
As 0.8709 0.8709 0.8709

Top 12 peaks for 2θ from 15° to 90°, by angle:
two_theta	d/Å	I_rel
24.7	3.601	2
25.8	3.450	100
32.7	2.742	3
39.2	2.301	2
42.8	2.112	75
50.7	1.801	46
62.1	1.494	12
68.4	1.371	18
78.4	1.220	18
78.5	1.219	6
84.1	1.150	3
84.2	1.150	10

No. 2
InGaAsSe: simulated X-ray powder pattern (Cu Kα (weighted mean of Kα1 and Kα2)), based on a PBE-relaxed structure.
Intensities are scaled so that the largest is 100.

Crystal structure
abc: 4.0855 4.0855 7.5100
angles: 90.00 90.00 120.00
Fractional positions:
In 0.0000 0.0000 0.0000
Ga 0.0000 0.0000 0.6400
As 0.3333 0.6667 0.5467
Se 0.6667 0.3333 0.1715

Top 12 peaks for 2θ from 15° to 90°, by angle:
two_theta	d/Å	I_rel
23.7	3.755	35
25.2	3.538	23
27.9	3.201	88
34.8	2.575	29
44.3	2.043	100
50.9	1.794	26
53.2	1.722	14
55.4	1.658	9
64.5	1.445	16
67.8	1.383	9
71.7	1.317	11
81.6	1.180	29

No. 3
GaAsIr: simulated X-ray powder pattern (Cu Kα (weighted mean of Kα1 and Kα2)), based on a PBE-relaxed structure.
Intensities are scaled so that the largest is 100.

Crystal structure
abc: 7.0695 4.8295 7.1996
angles: 90.00 119.19 90.00
Fractional positions:
Ga 0.0990 0.0000 0.1625
Ga 0.3826 0.4830 0.3792
Ga 0.6174 0.9830 0.6208
Ga 0.9010 0.5000 0.8375
As 0.1597 0.6708 0.6218
As 0.3347 0.1704 0.9385
As 0.6653 0.6704 0.0615
As 0.8403 0.1708 0.3782
Ir 0.2493 0.1653 0.5578
Ir 0.2939 0.6717 0.0263
Ir 0.7061 0.1717 0.9737
Ir 0.7507 0.6653 0.4422

Top 12 peaks for 2θ from 15° to 90°, by angle:
two_theta	d/Å	I_rel
23.4	3.799	100
28.4	3.143	38
28.9	3.085	49
37.2	2.415	32
38.0	2.369	24
40.1	2.248	28
42.5	2.125	38
43.3	2.090	49
47.5	1.915	24
47.9	1.901	46
48.2	1.888	19
50.6	1.805	20

No. 4
K3GaAs: simulated X-ray powder pattern (Cu Kα (weighted mean of Kα1 and Kα2)), based on a PBE-relaxed structure.
Intensities are scaled so that the largest is 100.

Crystal structure
abc: 8.3394 8.3394 8.3394
angles: 100.09 115.25 113.47
Fractional positions:
K 0.2159 0.0430 0.2589
K 0.2159 0.4570 0.6729
K 0.2178 0.5549 0.1629
K 0.3920 0.0549 0.8371
K 0.7841 0.5430 0.3271
K 0.7841 0.9570 0.7411
Ga 0.6813 0.4486 0.7327
Ga 0.7159 0.9486 0.2673
As 0.0102 0.6936 0.8166
As 0.8770 0.1936 0.1834

Top 12 peaks for 2θ from 15° to 90°, by angle:
two_theta	d/Å	I_rel
16.6	5.355	49
21.7	4.105	28
25.6	3.478	28
26.0	3.430	100
26.9	3.315	23
27.9	3.195	23
31.0	2.886	32
31.2	2.868	17
33.4	2.680	47
35.3	2.541	28
37.0	2.430	21
46.3	1.963	18

No. 5
K3Ga2As4: simulated X-ray powder pattern (Cu Kα (weighted mean of Kα1 and Kα2)), based on a PBE-relaxed structure.
Intensities are scaled so that the largest is 100.

Crystal structure
abc: 7.1243 7.1243 8.6944
angles: 105.27 105.27 35.53
Fractional positions:
K 0.0000 0.0000 0.0000
K 0.4104 0.4104 0.3215
K 0.5896 0.5896 0.6785
Ga 0.2826 0.2826 0.6567
Ga 0.7174 0.7174 0.3433
As 0.1293 0.1293 0.3968
As 0.2868 0.2868 0.9577
As 0.7132 0.7132 0.0423
As 0.8707 0.8707 0.6032

Top 12 peaks for 2θ from 15° to 90°, by angle:
two_theta	d/Å	I_rel
21.9	4.065	13
28.9	3.087	100
31.8	2.815	13
32.1	2.786	67
38.5	2.338	17
39.2	2.300	29
39.7	2.273	15
41.5	2.174	32
45.6	1.989	15
47.6	1.910	14
53.5	1.713	53
68.3	1.373	14

No. 6
K2LiGaAs2: simulated X-ray powder pattern (Cu Kα (weighted mean of Kα1 and Kα2)), based on a PBE-relaxed structure.
Intensities are scaled so that the largest is 100.

Crystal structure
abc: 9.9927 9.9927 6.2799
angles: 90.00 90.00 101.97
Fractional positions:
K 0.0776 0.4224 0.7500
K 0.1708 0.8292 0.7805
K 0.3292 0.6708 0.2805
K 0.4224 0.0776 0.2500
K 0.5776 0.9224 0.7500
K 0.6708 0.3292 0.7195
K 0.8292 0.1708 0.2195
K 0.9224 0.5776 0.2500
Li 0.1201 0.1201 0.0000
Li 0.3799 0.3799 0.5000
Li 0.6201 0.6201 0.5000
Li 0.8799 0.8799 0.0000
Ga 0.1316 0.1316 0.5000
Ga 0.3684 0.3684 0.0000
Ga 0.6316 0.6316 0.0000
Ga 0.8684 0.8684 0.5000
As 0.0928 0.9072 0.2870
As 0.1566 0.3434 0.2500
As 0.3434 0.1566 0.7500
As 0.4072 0.5928 0.7870
As 0.5928 0.4072 0.2130
As 0.6566 0.8434 0.2500
As 0.8434 0.6566 0.7500
As 0.9072 0.0928 0.7130

Top 12 peaks for 2θ from 15° to 90°, by angle:
two_theta	d/Å	I_rel
16.8	5.284	38
23.1	3.857	29
23.4	3.807	14
28.4	3.143	40
30.6	2.923	100
36.8	2.443	76
40.6	2.222	57
45.4	1.998	19
51.4	1.779	27
51.7	1.769	36
67.4	1.389	21
71.4	1.322	18